(1)
The following is a theoretical powder XRD pattern of Na2Mg2NiH6. It was derived from a GGA-PBE-relaxed structure, using Cu Ka.
Neutral-atom scattering factors, no anomalous dispersion.

Largest 6 diffraction maxima, most intense first, 10° ≤ 2θ ≤ 80°:
d (Å), I (rel.), h k l
2.497, 100, 3 2 1
4.866, 72, 1 0 1
5.692, 35, 2 0 0
2.104, 30, 0 4 0
2.691, 29, 0 0 2
3.383, 24, 2 2 0

Structural model:
```
data_Na2Mg2NiH6
_chemical_formula_sum 'Na8 Mg8 Ni4 H24'
_symmetry_space_group_name_H-M 'P n m a'
_symmetry_Int_Tables_number 62
_symmetry_space_group_name_Hall '-P 2ac 2n'
_cell_length_a 11.385
_cell_length_b 8.412
_cell_length_c 5.382
_cell_angle_alpha 90.00
_cell_angle_beta 90.00
_cell_angle_gamma 90.00
loop_
_atom_site_label
_atom_site_fract_x
_atom_site_fract_y
_atom_site_fract_z
Na1 0.108 0.250 0.043
Na2 0.170 0.750 0.061
Mg1 0.128 0.507 0.561
Ni1 0.000 0.250 0.558
H1 0.021 0.602 0.264
H2 0.095 0.750 0.659
H3 0.132 0.250 0.469
H4 0.224 0.016 0.868
```

=====

(2)
The following is a theoretical powder XRD pattern of NaMgPH12O11. It was derived from a GGA-PBE-relaxed structure, using Cu Ka.
Neutral-atom scattering factors, no anomalous dispersion.

Largest 6 diffraction maxima, most intense first, 10° ≤ 2θ ≤ 80°:
d (Å), I (rel.), h k l
4.281, 100, 1 0 2
2.895, 91, 2 0 2
5.789, 84, 1 0 1
6.804, 79, 1 0 0
1.812, 57, 2 2 4
2.406, 57, 2 2 0

Structural model:
```
data_NaMgPH12O11
_chemical_formula_sum 'Na2 Mg2 P2 H24 O22'
_symmetry_space_group_name_H-M 'P 42/m m c'
_symmetry_Int_Tables_number 131
_symmetry_space_group_name_Hall '-P 4c 2'
_cell_length_a 6.804
_cell_length_b 6.804
_cell_length_c 11.016
_cell_angle_alpha 90.00
_cell_angle_beta 90.00
_cell_angle_gamma 90.00
loop_
_atom_site_label
_atom_site_fract_x
_atom_site_fract_y
_atom_site_fract_z
Na1 0.000 0.000 0.000
Mg1 0.000 0.500 0.000
P1 0.500 0.500 0.250
H1 0.118 0.500 0.243
H2 0.285 0.314 0.429
O1 0.000 0.000 0.250
O2 0.000 0.500 0.188
O3 0.221 0.276 0.000
O4 0.312 0.500 0.330
```

=====

(3)
The following is a theoretical powder XRD pattern of Na3MgP2HO8. It was derived from a GGA-PBE-relaxed structure, using Cu Ka.
Neutral-atom scattering factors, no anomalous dispersion.

Largest 6 diffraction maxima, most intense first, 10° ≤ 2θ ≤ 80°:
d (Å), I (rel.), h k l
2.727, 100, 1 1 0
2.631, 93, 1 -2 0
1.891, 78, -2 2 2
3.783, 77, -1 1 1
2.607, 72, 2 -1 0
2.715, 69, 1 0 2

Structural model:
```
data_Na3MgP2HO8
_chemical_formula_sum 'Na3 Mg1 P2 H1 O8'
_symmetry_space_group_name_H-M 'P -1'
_symmetry_Int_Tables_number 2
_symmetry_space_group_name_Hall '-P 1'
_cell_length_a 5.222
_cell_length_b 5.269
_cell_length_c 6.910
_cell_angle_alpha 90.42
_cell_angle_beta 91.92
_cell_angle_gamma 117.29
loop_
_atom_site_label
_atom_site_fract_x
_atom_site_fract_y
_atom_site_fract_z
Na1 0.000 0.000 0.000
Na2 0.339 0.702 0.713
Mg1 0.000 0.000 0.500
P1 0.336 0.645 0.258
H1 0.000 0.500 0.000
O1 0.212 0.319 0.290
O2 0.212 0.782 0.400
O3 0.240 0.685 0.045
O4 0.330 0.206 0.726
```